Diffraction record for AcNp2GeO8. The powder diffractogram is theoretical, not measured: it uses a GGA-PBE-relaxed structure and Cu Kα (λ = 1.5418 Å).
Peak positions follow from Bragg's law for the DFT cell and can differ from measured ones.

Structural model:
abc: 6.9482 7.2864 6.9860
angles: 90.00 90.00 90.00
Space group Cmmm (No. 65)
Inequivalent atoms, fractional coordinates:
Ac: 0.0000 0.0000 0.0000
Np: 0.0000 0.5000 0.2668
Ge: 0.0000 0.0000 0.5000
O: 0.0000 0.2894 0.5000
O: 0.0000 0.3313 0.0000
O: 0.1920 0.0000 0.3011

Largest 12 diffraction maxima, by intensity, 2θ = 15–90°:
2theta	Rel. int.	hkl
31.2	100	1 1 2
24.4	57	0 2 0
25.6	50	2 0 0
47.4	40	1 3 2
48.8	35	3 1 2
35.7	31	2 2 0
61.3	21	3 3 2
21.8	15	1 1 1
65.0	13	2 2 4
17.6	11	1 1 0
57.1	11	2 4 0
59.2	10	2 0 4